1.
Calculated PXRD pattern of Na5W7O21 for a wavelength of 1.5418 Å, from a PBE+U-relaxed structure.

Cell and atoms:
Unit cell a=22.928 b=5.617 c=6.812 alpha=90.00 beta=101.62 gamma=90.00
Space group C2/m (No. 12)
Symmetry-distinct sites (fractional):
Na 0.000 0.000 0.000 [2 per cell]
Na 0.071 0.500 0.715 [4 per cell]
Na 0.214 0.500 0.144 [4 per cell]
W 0.000 0.000 0.500 [2 per cell]
W 0.072 0.500 0.215 [4 per cell]
W 0.144 0.000 0.927 [4 per cell]
W 0.215 0.500 0.640 [4 per cell]
O 0.000 0.500 0.000 [2 per cell]
O 0.034 0.259 0.350 [8 per cell]
O 0.071 0.000 0.711 [4 per cell]
O 0.105 0.259 0.063 [8 per cell]
O 0.142 0.500 0.422 [4 per cell]
O 0.180 0.257 0.786 [8 per cell]
O 0.213 0.000 0.139 [4 per cell]
O 0.250 0.250 0.500 [4 per cell]

Peak list (6 most intense, 5 to 70 degrees two-theta, low angle first)
hkl	Position (°2θ)	intensity
3 1 -1	22.48	98
4 0 1	22.66	48
0 2 0	31.86	21
7 1 0	32.14	100
6 2 -2	45.89	27
8 2 2	57.29	24

***

2.
Calculated PXRD pattern of Na7W12O36 for a wavelength of 1.5418 Å, from a PBE+U-relaxed structure.

Cell and atoms:
Unit cell a=9.580 b=16.606 c=9.588 alpha=90.00 beta=109.48 gamma=90.00
Space group C2/m (No. 12)
Symmetry-distinct sites (fractional):
Na 0.000 0.000 0.000 [2 per cell]
Na 0.249 0.332 0.748 [8 per cell]
Na 0.249 0.500 0.250 [4 per cell]
W 0.123 0.500 0.873 [4 per cell]
W 0.125 0.333 0.376 [8 per cell]
W 0.126 0.000 0.378 [4 per cell]
W 0.126 0.167 0.874 [8 per cell]
O 0.000 0.000 0.500 [2 per cell]
O 0.000 0.082 0.247 [8 per cell]
O 0.000 0.165 0.000 [4 per cell]
O 0.000 0.250 0.250 [8 per cell]
O 0.000 0.333 0.500 [4 per cell]
O 0.000 0.417 0.250 [8 per cell]
O 0.000 0.500 0.000 [2 per cell]
O 0.247 0.082 0.000 [8 per cell]
O 0.248 0.000 0.247 [4 per cell]
O 0.250 0.083 0.500 [8 per cell]
O 0.250 0.167 0.750 [8 per cell]
O 0.250 0.250 0.000 [4 per cell]
O 0.250 0.250 0.500 [4 per cell]

Peak list (6 most intense, 5 to 70 degrees two-theta, low angle first)
hkl	Position (°2θ)	intensity
1 3 1	22.72	100
2 0 2	32.36	77
2 6 2	46.41	26
4 6 0	52.28	42
5 3 1	57.71	31
4 0 4	67.73	16

***

3.
Calculated PXRD pattern of NaW3O9 for a wavelength of 1.5418 Å, from a PBE+U-relaxed structure.

Cell and atoms:
Unit cell a=5.5019 b=5.5019 c=6.7372 alpha=90.00 beta=90.00 gamma=120.00
Space group P-3m1 (No. 164)
Symmetry-distinct sites (fractional):
Na 0.0000 0.0000 0.0000 [1 per cell]
W 0.0000 0.0000 0.5000 [1 per cell]
W 0.3333 0.6667 0.1700 [2 per cell]
O 0.0000 0.5000 0.0000 [3 per cell]
O 0.1648 0.3297 0.3298 [6 per cell]

Peak list (6 most intense, 5 to 70 degrees two-theta, low angle first)
hkl	Position (°2θ)	intensity
1 0 1	22.86	100
1 1 0	32.55	67
2 0 2	46.70	23
2 1 1	52.61	41
3 0 0	58.08	27
2 2 0	68.18	14

***

4.
Calculated PXRD pattern of Na2W3O9 for a wavelength of 1.5418 Å, from a PBE+U-relaxed structure.

Cell and atoms:
Unit cell a=5.5499 b=5.5499 c=6.8014 alpha=90.00 beta=90.00 gamma=120.00
Space group P-3m1 (No. 164)
Symmetry-distinct sites (fractional):
Na 0.3333 0.6667 0.1689 [2 per cell]
W 0.0000 0.0000 0.0000 [1 per cell]
W 0.3333 0.6667 0.6626 [2 per cell]
O 0.0000 0.5000 0.5000 [3 per cell]
O 0.1680 0.3361 0.8376 [6 per cell]

Peak list (6 most intense, 5 to 70 degrees two-theta, low angle first)
hkl	Position (°2θ)	intensity
1 0 1	22.65	100
1 1 0	32.25	80
2 0 2	46.26	27
2 1 1	52.10	42
3 0 0	57.51	32
2 2 0	67.49	16

***

5.
Calculated PXRD pattern of Na3W10O30 for a wavelength of 1.5418 Å, from a PBE+U-relaxed structure.

Cell and atoms:
Unit cell a=6.734 b=5.495 c=16.027 alpha=90.00 beta=98.05 gamma=90.00
Space group P2/m (No. 10)
Symmetry-distinct sites (fractional):
Na 0.000 0.000 0.000 [1 per cell]
Na 0.100 0.500 0.301 [2 per cell]
W 0.000 0.500 0.500 [1 per cell]
W 0.104 0.000 0.799 [2 per cell]
W 0.203 0.500 0.100 [2 per cell]
W 0.301 0.000 0.401 [2 per cell]
W 0.401 0.500 0.699 [2 per cell]
W 0.500 0.000 0.000 [1 per cell]
O 0.000 0.500 0.000 [1 per cell]
O 0.049 0.250 0.150 [4 per cell]
O 0.099 0.000 0.300 [2 per cell]
O 0.149 0.253 0.448 [4 per cell]
O 0.198 0.500 0.601 [2 per cell]
O 0.247 0.253 0.749 [4 per cell]
O 0.297 0.000 0.901 [2 per cell]
O 0.346 0.247 0.049 [4 per cell]
O 0.396 0.500 0.201 [2 per cell]
O 0.446 0.253 0.349 [4 per cell]
O 0.500 0.000 0.500 [1 per cell]

Peak list (6 most intense, 5 to 70 degrees two-theta, low angle first)
hkl	Position (°2θ)	intensity
1 0 3	22.88	100
2 1 1	32.58	66
2 0 6	46.74	23
1 1 8	52.65	41
2 3 1	58.13	27
0 4 0	68.25	14